Entry 1:
Nd7Sm3Dy2: computed X-ray diffraction stick pattern (Cu Ka), based on DFT lattice parameters and positions (GGA-PBE).
Kinematic intensities with the Lorentz-polarization factor, no thermal factor.

Principal peaks in the range 2θ = 10–90°, by angle:
- 27.90 deg, rel. 305
- 30.05 deg, rel. 503
- 30.16 deg, rel. 447
- 30.59 deg, rel. 1000
- 30.94 deg, rel. 818
- 31.71 deg, rel. 275
- 32.52 deg, rel. 477
- 33.97 deg, rel. 405
- 45.31 deg, rel. 172
- 50.27 deg, rel. 211
- 53.08 deg, rel. 264
- 59.73 deg, rel. 195

Atomic structure:
```
data_Nd7Sm3Dy2
_space_group_name_H-M_alt 'P 1 2/m 1'
_space_group_IT_number 10
_cell_length_a 5.955
_cell_length_b 3.630
_cell_length_c 19.221
_cell_angle_alpha 90.00
_cell_angle_beta 93.30
_cell_angle_gamma 90.00
loop_
_space_group_symop_operation_xyz
'x,y,z'
'-x,-y,-z'
'-x,y,-z'
'x,-y,z'
loop_
_atom_site_label
_atom_site_fract_x
_atom_site_fract_y
_atom_site_fract_z
Nd1 0.000 0.000 0.000
Nd2 0.182 0.500 0.182
Nd3 0.257 0.500 0.535
Nd4 0.320 0.000 0.855
Sm1 0.216 0.000 0.367
Sm2 0.500 0.500 0.000
Dy1 0.293 0.500 0.704
```

Entry 2:
Cu2Ni12Ge5: computed X-ray diffraction stick pattern (Cu Ka), based on DFT lattice parameters and positions (GGA-PBE).
Kinematic intensities with the Lorentz-polarization factor, no thermal factor.

Principal peaks in the range 2θ = 10–90°, by angle:
- 27.79 deg, rel. 387
- 28.83 deg, rel. 464
- 41.44 deg, rel. 498
- 42.56 deg, rel. 893
- 44.02 deg, rel. 1000
- 45.43 deg, rel. 729
- 46.23 deg, rel. 347
- 46.68 deg, rel. 418
- 47.34 deg, rel. 390
- 48.23 deg, rel. 720
- 48.86 deg, rel. 527
- 50.30 deg, rel. 389

Atomic structure:
```
data_Cu2Ni12Ge5
_space_group_name_H-M_alt 'C 1 2/m 1'
_space_group_IT_number 12
_cell_length_a 13.255
_cell_length_b 4.905
_cell_length_c 7.989
_cell_angle_alpha 90.00
_cell_angle_beta 105.85
_cell_angle_gamma 90.00
loop_
_space_group_symop_operation_xyz
'x,y,z'
'-x,-y,-z'
'-x,y,-z'
'x,-y,z'
'x+1/2,y+1/2,z'
'-x+1/2,-y+1/2,-z'
'-x+1/2,y+1/2,-z'
'x+1/2,-y+1/2,z'
loop_
_atom_site_label
_atom_site_fract_x
_atom_site_fract_y
_atom_site_fract_z
Cu1 0.000 0.246 0.000
Ni1 0.012 0.500 0.355
Ni2 0.109 0.000 0.304
Ni3 0.158 0.255 0.601
Ni4 0.197 0.240 0.111
Ge1 0.000 0.000 0.500
Ge2 0.141 0.500 0.860
Ge3 0.184 0.500 0.350
```

Entry 3:
V2Cr13: computed X-ray diffraction stick pattern (Cu Ka), based on DFT lattice parameters and positions (GGA-PBE).
Kinematic intensities with the Lorentz-polarization factor, no thermal factor.

Principal peaks in the range 2θ = 10–90°, by angle:
- 44.72 deg, rel. 1000
- 65.06 deg, rel. 95
- 65.18 deg, rel. 47
- 82.37 deg, rel. 114
- 82.47 deg, rel. 137
- 82.58 deg, rel. 23

Atomic structure:
```
data_V2Cr13
_space_group_name_H-M_alt 'P -1'
_space_group_IT_number 2
_cell_length_a 4.752
_cell_length_b 6.406
_cell_length_c 6.411
_cell_angle_alpha 66.39
_cell_angle_beta 82.20
_cell_angle_gamma 82.35
loop_
_space_group_symop_operation_xyz
'x,y,z'
'-x,-y,-z'
loop_
_atom_site_label
_atom_site_fract_x
_atom_site_fract_y
_atom_site_fract_z
V1 0.133 0.300 0.467
Cr1 0.000 0.500 0.000
Cr2 0.065 0.900 0.736
Cr3 0.204 0.702 0.196
Cr4 0.266 0.099 0.934
Cr5 0.335 0.500 0.669
Cr6 0.399 0.901 0.399
Cr7 0.470 0.300 0.132
```

Entry 4:
PaWS4: computed X-ray diffraction stick pattern (Cu Ka), based on DFT lattice parameters and positions (GGA-PBE).
Kinematic intensities with the Lorentz-polarization factor, no thermal factor.

Principal peaks in the range 2θ = 10–90°, by angle:
- 19.79 deg, rel. 1000
- 24.19 deg, rel. 804
- 27.74 deg, rel. 234
- 28.98 deg, rel. 446
- 34.31 deg, rel. 516
- 41.81 deg, rel. 341
- 42.69 deg, rel. 569
- 44.00 deg, rel. 348
- 46.97 deg, rel. 140
- 49.83 deg, rel. 224
- 50.74 deg, rel. 167
- 63.88 deg, rel. 176

Atomic structure:
```
data_PaWS4
_space_group_name_H-M_alt 'P n c 2'
_space_group_IT_number 30
_cell_length_a 6.432
_cell_length_b 5.833
_cell_length_c 7.021
_cell_angle_alpha 90.00
_cell_angle_beta 90.00
_cell_angle_gamma 90.00
loop_
_space_group_symop_operation_xyz
'x,y,z'
'-x,-y,z'
'-x,y+1/2,z+1/2'
'x,-y+1/2,z+1/2'
loop_
_atom_site_label
_atom_site_fract_x
_atom_site_fract_y
_atom_site_fract_z
Pa1 0.000 0.000 0.000
W1 0.500 0.000 0.786
S1 0.206 0.247 0.751
S2 0.352 0.747 0.014
```